Record 1
This entry pairs a crystal structure of TbErZn2Pb2 with its simulated powder XRD pattern. Radiation: a wavelength of 1.5418 Å. Structure: DFT lattice parameters and positions (PBE).

Main lines, in order of rising 2θ (10° ≤ 2θ ≤ 90°):
| 2θ (°) | d_spacing | intensity |
| --- | --- | --- |
| 28.03 | 3.184 | 44 |
| 31.78 | 2.815 | 100 |
| 39.27 | 2.294 | 72 |
| 45.89 | 1.977 | 25 |
| 51.37 | 1.779 | 26 |
| 61.61 | 1.505 | 15 |
| 66.52 | 1.406 | 24 |
| 71.18 | 1.325 | 13 |

Cell and atoms:
a b c (Å): 4.5886 4.5886 15.9574
angles (deg): 90.00 90.00 120.00
Space group P6_3/mmc (No. 194)
Unique sites:
Tb 0.0000 0.0000 0.2500 (multiplicity 2)
Er 0.0000 0.0000 0.0000 (multiplicity 2)
Zn 0.3333 0.6667 0.1648 (multiplicity 4)
Pb 0.3333 0.6667 0.6086 (multiplicity 4)

Record 2
This entry pairs a crystal structure of Er3Pd2 with its simulated powder XRD pattern. Radiation: a wavelength of 1.5418 Å. Structure: DFT lattice parameters and positions (PBE).

Main lines, in order of rising 2θ (10° ≤ 2θ ≤ 90°):
| 2θ (°) | d_spacing | intensity |
| --- | --- | --- |
| 31.58 | 2.833 | 60 |
| 32.70 | 2.738 | 100 |
| 33.99 | 2.638 | 59 |
| 34.19 | 2.623 | 48 |
| 34.57 | 2.595 | 39 |
| 37.04 | 2.427 | 77 |
| 40.95 | 2.204 | 49 |
| 49.44 | 1.843 | 35 |

Cell and atoms:
a b c (Å): 13.751 3.687 9.676
angles (deg): 90.00 104.99 90.00
Space group C2/m (No. 12)
Unique sites:
Er 0.092 0.000 0.160 (multiplicity 4)
Er 0.132 0.500 0.495 (multiplicity 4)
Er 0.148 0.500 0.876 (multiplicity 4)
Pd 0.031 0.000 0.653 (multiplicity 4)
Pd 0.249 0.500 0.271 (multiplicity 4)

Record 3
This entry pairs a crystal structure of Er3Pd5 with its simulated powder XRD pattern. Radiation: a wavelength of 1.5418 Å. Structure: DFT lattice parameters and positions (PBE).

Main lines, in order of rising 2θ (10° ≤ 2θ ≤ 90°):
| 2θ (°) | d_spacing | intensity |
| --- | --- | --- |
| 32.03 | 2.795 | 14 |
| 33.39 | 2.684 | 13 |
| 37.29 | 2.411 | 100 |
| 37.85 | 2.377 | 31 |
| 39.38 | 2.288 | 16 |
| 39.52 | 2.280 | 21 |
| 43.14 | 2.097 | 25 |
| 55.88 | 1.645 | 11 |

Cell and atoms:
a b c (Å): 9.121 7.091 9.507
angles (deg): 90.00 90.00 90.00
Space group Cmcm (No. 63)
Unique sites:
Er 0.000 0.112 0.250 (multiplicity 4)
Er 0.204 0.500 0.000 (multiplicity 8)
Pd 0.000 0.191 0.544 (multiplicity 8)
Pd 0.000 0.489 0.750 (multiplicity 4)
Pd 0.226 0.222 0.750 (multiplicity 8)